1.
Starting from a crystal structure in Alexandria, relaxed with GGA-PBE, the PXRD pattern of RbZrBr3 was computed for Cu Kα, 1.54184 Å.
No peak broadening, texture or thermal motion is included.

Cell and atoms:
a = 5.5470 Å, b = 5.5470 Å, c = 5.5357 Å
α = 90.00°, β = 90.00°, γ = 90.00°
Fractional coordinates of all 5 atoms:
Rb (0.0000, 0.0000, 0.0000)
Zr (0.5000, 0.5000, 0.5000)
Br (0.0000, 0.5000, 0.5000)
Br (0.5000, 0.0000, 0.5000)
Br (0.5000, 0.5000, 0.0000)

Most intense lines, 10 to 90 degrees two-theta, by intensity:
- 2θ = 32.30°, I 1000
- 2θ = 46.33°, I 712
- 2θ = 27.88°, I 624
- 2θ = 54.94°, I 269
- 2θ = 22.69°, I 262
- 2θ = 15.99°, I 255
- 2θ = 57.60°, I 245
- 2θ = 76.88°, I 209
- 2θ = 85.86°, I 161
- 2θ = 36.24°, I 126

***

2.
Starting from a crystal structure in Alexandria, relaxed with GGA-PBE, the PXRD pattern of TbMnCoP2 was computed for Cu Kα, 1.54184 Å.
No peak broadening, texture or thermal motion is included.

Cell and atoms:
a = 5.5265 Å, b = 5.5265 Å, c = 5.5265 Å
α = 139.38°, β = 139.38°, γ = 58.80°
Fractional coordinates of all 5 atoms:
Tb (0.0000, 0.0000, 0.0000)
Mn (0.2500, 0.7500, 0.5000)
Co (0.7500, 0.2500, 0.5000)
P (0.3670, 0.3670, 0.0000)
P (0.6330, 0.6330, 0.0000)

Most intense lines, 10 to 90 degrees two-theta, by intensity:
- 2θ = 38.07°, I 1000
- 2θ = 36.50°, I 660
- 2θ = 24.98°, I 539
- 2θ = 47.39°, I 407
- 2θ = 61.25°, I 287
- 2θ = 67.85°, I 204
- 2θ = 81.88°, I 202
- 2θ = 53.22°, I 184
- 2θ = 37.35°, I 170
- 2θ = 61.84°, I 150

***

3.
Starting from a crystal structure in Alexandria, relaxed with GGA-PBE, the PXRD pattern of SmDy5Tm7 was computed for Cu Kα, 1.54184 Å.
No peak broadening, texture or thermal motion is included.

Cell and atoms:
a = 8.5930 Å, b = 8.5930 Å, c = 8.5930 Å
α = 134.41°, β = 100.84°, γ = 96.44°
Fractional coordinates of all 13 atoms:
Sm (0.0000, 0.0000, 0.0000)
Dy (0.0276, 0.0317, 0.4590)
Dy (0.0276, 0.5686, 0.9960)
Dy (0.3033, 0.8033, 0.5000)
Dy (0.5727, 0.0317, 0.0040)
Dy (0.5727, 0.5686, 0.5410)
Tm (0.2197, 0.5502, 0.6695)
Tm (0.3044, 0.3044, 0.0000)
Tm (0.3838, 0.0528, 0.3310)
Tm (0.6099, 0.6099, 0.0000)
Tm (0.7218, 0.0528, 0.6690)
Tm (0.8010, 0.3010, 0.5000)
Tm (0.8807, 0.5502, 0.3305)

Most intense lines, 10 to 90 degrees two-theta, by intensity:
- 2θ = 32.04°, I 1000
- 2θ = 35.23°, I 922
- 2θ = 31.24°, I 759
- 2θ = 31.07°, I 482
- 2θ = 31.45°, I 480
- 2θ = 58.22°, I 411
- 2θ = 27.88°, I 373
- 2θ = 36.38°, I 346
- 2θ = 57.61°, I 317
- 2θ = 66.99°, I 264

***

4.
Starting from a crystal structure in Alexandria, relaxed with GGA-PBE, the PXRD pattern of PaFe2Cl8 was computed for Cu Kα, 1.54184 Å.
No peak broadening, texture or thermal motion is included.

Cell and atoms:
a = 7.4113 Å, b = 7.4113 Å, c = 7.7511 Å
α = 90.00°, β = 90.00°, γ = 120.00°
Fractional coordinates of all 11 atoms:
Pa (0.0000, 0.0000, 0.0000)
Fe (0.3333, 0.6667, 0.6794)
Fe (0.6667, 0.3333, 0.3206)
Cl (0.1668, 0.3337, 0.8032)
Cl (0.1668, 0.8332, 0.8032)
Cl (0.3333, 0.6667, 0.4007)
Cl (0.3337, 0.1668, 0.1968)
Cl (0.6663, 0.8332, 0.8032)
Cl (0.6667, 0.3333, 0.5993)
Cl (0.8332, 0.1668, 0.1968)
Cl (0.8332, 0.6663, 0.1968)

Most intense lines, 10 to 90 degrees two-theta, by intensity:
- 2θ = 17.94°, I 1000
- 2θ = 24.01°, I 296
- 2θ = 38.90°, I 278
- 2θ = 13.80°, I 228
- 2θ = 36.35°, I 224
- 2θ = 30.14°, I 211
- 2θ = 49.15°, I 192
- 2θ = 42.66°, I 191
- 2θ = 26.87°, I 186
- 2θ = 11.42°, I 149